No. 1
This entry pairs a crystal structure of LiEu2RuO6 with its simulated powder XRD pattern. Radiation: Cu Kα X-rays. Structure: a DFT-relaxed cell (GGA-PBE, the Materials Project).

a = 5.384 Å, b = 5.756 Å, c = 9.276 Å
α = 90.00°, β = 124.72°, γ = 90.00°
Sites, in units of the cell vectors:
1 Li 0.000 0.000 0.000
2 Li 0.000 0.500 0.500
3 Eu 0.231 0.072 0.749
4 Eu 0.231 0.428 0.249
5 Eu 0.769 0.572 0.751
6 Eu 0.769 0.928 0.251
7 Ru 0.500 0.000 0.500
8 Ru 0.500 0.500 0.000
9 O 0.153 0.185 0.451
10 O 0.153 0.315 0.951
11 O 0.270 0.711 0.447
12 O 0.270 0.789 0.947
13 O 0.355 0.032 0.255
14 O 0.355 0.468 0.755
15 O 0.645 0.532 0.245
16 O 0.645 0.968 0.745
17 O 0.730 0.211 0.053
18 O 0.730 0.289 0.553
19 O 0.847 0.685 0.049
20 O 0.847 0.815 0.549

Principal peaks in the range 10 to 90 degrees two-theta, by angle:
two_theta  I_rel  index
19.32  36  0 1 1
22.62  41  1 1 -1
31.08  36  0 2 0
32.56  100  1 1 1
32.88  100  1 1 -3
33.28  90  2 0 -2
46.18  35  2 2 -2
47.71  66  0 0 4


No. 2
This entry pairs a crystal structure of Li2EuSiO4 with its simulated powder XRD pattern. Radiation: Cu Kα X-rays. Structure: a DFT-relaxed cell (GGA-PBE, the Materials Project).

a = 5.051 Å, b = 5.051 Å, c = 12.488 Å
α = 90.00°, β = 90.00°, γ = 120.00°
Sites, in units of the cell vectors:
1 Li 0.073 0.407 0.421
2 Li 0.334 0.927 0.087
3 Li 0.407 0.073 0.579
4 Li 0.593 0.666 0.754
5 Li 0.666 0.593 0.246
6 Li 0.927 0.334 0.913
7 Eu 0.000 0.421 0.667
8 Eu 0.421 0.000 0.333
9 Eu 0.579 0.579 0.000
10 Si 0.000 0.277 0.167
11 Si 0.277 0.000 0.833
12 Si 0.723 0.723 0.500
13 O 0.036 0.486 0.060
14 O 0.069 0.761 0.496
15 O 0.239 0.308 0.829
16 O 0.308 0.239 0.171
17 O 0.451 0.964 0.727
18 O 0.486 0.036 0.940
19 O 0.514 0.549 0.393
20 O 0.549 0.514 0.607
21 O 0.692 0.931 0.163
22 O 0.761 0.069 0.504
23 O 0.931 0.692 0.837
24 O 0.964 0.451 0.273

Principal peaks in the range 10 to 90 degrees two-theta, by angle:
two_theta  I_rel  index
21.34  18  0 0 3
21.53  62  1 0 1
24.85  100  0 1 2
35.32  34  1 0 4
35.55  33  1 1 0
41.64  27  0 1 5
41.86  26  1 1 3
46.93  26  0 2 3


No. 3
This entry pairs a crystal structure of LiSmEu2O4 with its simulated powder XRD pattern. Radiation: Cu Kα X-rays. Structure: a DFT-relaxed cell (GGA-PBE, the Materials Project).

a = 11.595 Å, b = 3.498 Å, c = 11.698 Å
α = 90.00°, β = 90.00°, γ = 90.00°
Sites, in units of the cell vectors:
1 Li 0.153 0.250 0.090
2 Li 0.347 0.750 0.590
3 Li 0.653 0.250 0.410
4 Li 0.847 0.750 0.910
5 Sm 0.140 0.750 0.296
6 Sm 0.360 0.250 0.796
7 Sm 0.640 0.750 0.204
8 Sm 0.860 0.250 0.704
9 Eu 0.098 0.750 0.886
10 Eu 0.135 0.250 0.575
11 Eu 0.365 0.750 0.075
12 Eu 0.402 0.250 0.386
13 Eu 0.598 0.750 0.614
14 Eu 0.635 0.250 0.925
15 Eu 0.865 0.750 0.425
16 Eu 0.902 0.250 0.114
17 O 0.025 0.250 0.373
18 O 0.060 0.750 0.108
19 O 0.240 0.750 0.720
20 O 0.243 0.250 0.957
21 O 0.257 0.750 0.457
22 O 0.260 0.250 0.220
23 O 0.440 0.250 0.608
24 O 0.475 0.750 0.873
25 O 0.525 0.250 0.127
26 O 0.560 0.750 0.392
27 O 0.740 0.750 0.780
28 O 0.743 0.250 0.543
29 O 0.757 0.750 0.043
30 O 0.760 0.250 0.280
31 O 0.940 0.250 0.892
32 O 0.975 0.750 0.627

Principal peaks in the range 10 to 90 degrees two-theta, by angle:
two_theta  I_rel  index
27.58  98  2 0 3
27.71  21  1 1 1
30.80  100  4 0 0
33.62  35  2 1 2
35.45  32  3 1 1
37.95  40  3 1 2
47.40  30  1 1 5
60.15  23  2 2 3


No. 4
This entry pairs a crystal structure of LiEuTcO3 with its simulated powder XRD pattern. Radiation: Cu Kα X-rays. Structure: a DFT-relaxed cell (GGA-PBE, the Materials Project).

a = 3.843 Å, b = 3.843 Å, c = 5.670 Å
α = 90.00°, β = 90.00°, γ = 90.00°
Sites, in units of the cell vectors:
1 Li 0.000 0.000 0.000
2 Eu 0.000 0.000 0.500
3 Tc 0.500 0.500 0.000
4 O 0.000 0.500 0.000
5 O 0.500 0.000 0.000
6 O 0.500 0.500 0.500

Principal peaks in the range 10 to 90 degrees two-theta, by angle:
two_theta  I_rel  index
28.05  100  1 0 1
31.56  33  0 0 2
32.96  36  1 1 0
46.28  28  1 1 2
47.31  20  2 0 0
54.07  16  1 0 3
55.91  30  2 1 1
57.99  22  2 0 2